Simulated X-ray powder pattern
Compound: CuHClO
Radiation: Cu Kα (weighted mean of Kα1 and Kα2)
Structure: DFT lattice parameters and positions (PBE)
Lines closer than 0.1° are merged.

Main lines, sorted by position (2θ from 10° to 90°):
(hkl), 2θ/deg, Rel. int.
1 0 0, 11.97, 100.0
2 0 0, 24.08, 49.1
1 1 1, 27.10, 39.9
2 1 -1, 27.31, 21.8
0 2 1, 32.00, 36.3
0 0 2, 32.24, 17.4
2 0 -2, 32.48, 21.1
3 0 0, 36.44, 28.9
2 2 -1, 36.52, 17.7
1 4 0, 58.28, 12.4

Atomic structure:
Cell: 7.9447 6.4811 5.9669 Å, 90.00 111.48 90.00°
Space group P2_1/c (No. 14)
Symmetry-distinct sites (fractional):
Cu 0.0225 0.1250 0.3177
H 0.4942 0.6476 0.1711
Cl 0.3782 0.0283 0.1927
O 0.0090 0.1530 0.6360

Simulated X-ray powder pattern
Compound: CeSi2Ir3
Radiation: Cu Kα (weighted mean of Kα1 and Kα2)
Structure: DFT lattice parameters and positions (PBE)
Lines closer than 0.1° are merged.

Main lines, sorted by position (2θ from 10° to 90°):
(hkl), 2θ/deg, Rel. int.
2 0 0, 24.54, 23.5
2 1 1, 30.73, 59.5
0 4 0, 36.88, 100.0
2 3 1, 40.58, 49.4
2 2 2, 44.81, 58.2
2 5 1, 55.98, 24.3
2 6 0, 62.66, 13.0
4 4 0, 63.99, 28.1
0 6 2, 66.44, 20.7
4 6 2, 87.80, 14.5

Atomic structure:
Cell: 7.2543 9.7558 5.6247 Å, 90.00 90.00 90.00°
Space group Imma (No. 74)
Symmetry-distinct sites (fractional):
Ce 0.0000 0.2500 0.2177
Si 0.0000 0.0802 0.6988
Ir 0.2181 0.0000 0.0000
Ir 0.2500 0.2500 0.7500

Simulated X-ray powder pattern
Compound: Ba6Cu3Hg3O13
Radiation: Cu Kα (weighted mean of Kα1 and Kα2)
Structure: DFT lattice parameters and positions (PBE)
Lines closer than 0.1° are merged.

Main lines, sorted by position (2θ from 10° to 90°):
(hkl), 2θ/deg, Rel. int.
3 1 0, 24.53, 28.2
3 1 1, 29.24, 100.0
6 0 -2, 32.28, 26.1
0 2 0, 32.51, 25.8
0 0 4, 36.73, 13.7
6 2 -2, 46.47, 23.2
3 1 4, 52.27, 14.8
9 1 -1, 55.71, 16.7
3 3 1, 56.00, 16.6
6 2 2, 60.65, 12.0

Atomic structure:
Cell: 16.6387 5.5084 11.2520 Å, 90.00 119.57 90.00°
Space group C2/m (No. 12)
Symmetry-distinct sites (fractional):
Ba 0.0690 0.0000 0.2062
Ba 0.0933 0.5000 0.7798
Ba 0.2343 0.5000 0.2035
Cu 0.0000 0.5000 0.0000
Cu 0.1671 0.0000 0.9988
Hg 0.0000 0.0000 0.5000
Hg 0.1633 0.5000 0.5001
O 0.0000 0.5000 0.5000
O 0.0696 0.0000 0.7087
O 0.0824 0.2473 0.0010
O 0.1009 0.5000 0.2917
O 0.2398 0.5000 0.7085
O 0.2500 0.2500 0.0000

Simulated X-ray powder pattern
Compound: ZrCoRe
Radiation: Cu Kα (weighted mean of Kα1 and Kα2)
Structure: DFT lattice parameters and positions (PBE)
Lines closer than 0.1° are merged.

Main lines, sorted by position (2θ from 10° to 90°):
(hkl), 2θ/deg, Rel. int.
1 0 0, 10.53, 39.8
2 0 0, 21.16, 42.7
1 1 1, 22.70, 28.7
3 1 1, 38.02, 83.0
2 1 3, 41.36, 92.3
1 2 2, 42.18, 100.0
1 0 4, 42.30, 48.9
4 0 0, 43.08, 27.9
5 2 2, 70.36, 45.3
0 2 6, 74.28, 21.4

Atomic structure:
Cell: 8.3986 5.1224 8.8376 Å, 90.00 90.00 90.00°
Space group Amm2 (No. 38)
Symmetry-distinct sites (fractional):
Zr 0.1784 0.0000 0.0000
Zr 0.3074 0.0000 0.3343
Co 0.0000 0.2474 0.2578
Co 0.2385 0.0000 0.6705
Re 0.0000 0.0000 0.5019
Re 0.5000 0.0000 0.8380
Re 0.5000 0.2488 0.0854

Simulated X-ray powder pattern
Compound: Si3P3Rh
Radiation: Cu Kα (weighted mean of Kα1 and Kα2)
Structure: DFT lattice parameters and positions (PBE)
Lines closer than 0.1° are merged.

Main lines, sorted by position (2θ from 10° to 90°):
(hkl), 2θ/deg, Rel. int.
0 0 1, 18.14, 41.6
1 0 0, 19.41, 76.7
0 1 -1, 21.14, 54.0
1 0 -1, 21.29, 45.9
1 1 0, 30.41, 100.0
1 -1 1, 30.53, 98.9
-1 1 1, 30.75, 97.9
1 2 -1, 42.71, 49.9
2 0 1, 49.77, 58.8
0 2 1, 49.90, 40.1

Atomic structure:
Cell: 4.9210 4.9393 5.5370 Å, 108.81 108.13 95.06°
Space group P1 (No. 1)
Symmetry-distinct sites (fractional):
Si 0.0000 0.0000 0.0000
Si 0.1283 0.5578 0.7963
Si 0.8184 0.8100 0.2717
P 0.2538 0.6910 0.4800
P 0.5656 0.1059 0.7841
P 0.7083 0.2406 0.4895
Rh 0.4166 0.4007 0.1366

Simulated X-ray powder pattern
Compound: Mg5Sb
Radiation: Cu Kα (weighted mean of Kα1 and Kα2)
Structure: DFT lattice parameters and positions (PBE)
Lines closer than 0.1° are merged.

Main lines, sorted by position (2θ from 10° to 90°):
(hkl), 2θ/deg, Rel. int.
0 0 3, 16.99, 20.7
1 0 1, 19.31, 46.4
0 1 2, 21.69, 35.2
1 0 4, 29.42, 16.7
1 1 0, 32.25, 32.4
0 0 6, 34.36, 25.4
1 1 3, 36.67, 100.0
1 1 6, 47.84, 21.1
1 1 9, 63.06, 19.5
3 0 6, 68.74, 20.4

Atomic structure:
Cell: 5.5516 5.5516 15.6586 Å, 90.00 90.00 120.00°
Space group R32 (No. 155, hexagonal axes)
Symmetry-distinct sites (fractional):
Mg 0.0000 0.0000 0.1669
Mg 0.0000 0.6667 0.0000
Sb 0.0000 0.0000 0.5000

Simulated X-ray powder pattern
Compound: CdHg4Se5
Radiation: Cu Kα (weighted mean of Kα1 and Kα2)
Structure: DFT lattice parameters and positions (PBE)
Lines closer than 0.1° are merged.

Main lines, sorted by position (2θ from 10° to 90°):
(hkl), 2θ/deg, Rel. int.
0 1 5, 26.58, 29.1
1 0 10, 30.79, 100.0
1 1 0, 44.10, 74.9
1 1 15, 52.23, 14.8
0 2 10, 54.74, 26.4
2 0 20, 64.13, 12.3
0 1 35, 70.69, 6.2
2 1 10, 72.82, 34.1
3 0 0, 81.11, 25.9
0 0 45, 87.20, 5.1

Atomic structure:
Cell: 4.1083 4.1083 50.2804 Å, 90.00 90.00 120.00°
Space group R-3m (No. 166, hexagonal axes)
Symmetry-distinct sites (fractional):
Cd 0.0000 0.0000 0.0000
Hg 0.0000 0.0000 0.2000
Hg 0.0000 0.0000 0.4002
Se 0.0000 0.0000 0.0999
Se 0.0000 0.0000 0.3007
Se 0.0000 0.0000 0.5000

Simulated X-ray powder pattern
Compound: PrCuGe
Radiation: Cu Kα (weighted mean of Kα1 and Kα2)
Structure: DFT lattice parameters and positions (PBE)
Lines closer than 0.1° are merged.

Main lines, sorted by position (2θ from 10° to 90°):
(hkl), 2θ/deg, Rel. int.
1 0 0, 24.24, 11.1
1 0 1, 32.54, 100.0
1 1 0, 42.66, 42.1
0 0 2, 43.54, 13.2
2 0 1, 54.66, 22.5
1 1 2, 62.59, 26.2
2 1 1, 71.71, 19.6
1 0 3, 72.98, 9.3
3 0 0, 78.10, 6.8
2 0 3, 88.39, 5.8

Atomic structure:
Cell: 4.2390 4.2390 4.1571 Å, 90.00 90.00 120.00°
Space group P-6m2 (No. 187)
Symmetry-distinct sites (fractional):
Pr 0.0000 0.0000 0.0000
Cu 0.3333 0.6667 0.5000
Ge 0.6667 0.3333 0.5000

Simulated X-ray powder pattern
Compound: Cs2RuO4
Radiation: Cu Kα (weighted mean of Kα1 and Kα2)
Structure: DFT lattice parameters and positions (PBE)
Lines closer than 0.1° are merged.

Main lines, sorted by position (2θ from 10° to 90°):
(hkl), 2θ/deg, Rel. int.
1 1 2, 22.68, 24.5
2 1 0, 24.56, 17.8
2 0 2, 25.54, 38.4
2 1 1, 25.72, 78.1
0 1 3, 26.42, 100.0
0 2 0, 26.95, 61.9
2 2 1, 34.96, 18.2
2 2 2, 37.46, 32.3
3 1 4, 46.15, 18.6
0 3 3, 47.28, 19.0

Atomic structure:
Cell: 8.6642 6.6179 11.7610 Å, 90.00 90.00 90.00°
Space group Pnma (No. 62)
Symmetry-distinct sites (fractional):
Cs 0.0069 0.2500 0.2042
Cs 0.1688 0.7500 0.4193
Ru 0.2238 0.7500 0.0791
O 0.0172 0.7500 0.0795
O 0.2025 0.0269 0.6481
O 0.2029 0.2500 0.4349

Simulated X-ray powder pattern
Compound: USnPt
Radiation: Cu Kα (weighted mean of Kα1 and Kα2)
Structure: DFT lattice parameters and positions (PBE)
Lines closer than 0.1° are merged.

Main lines, sorted by position (2θ from 10° to 90°):
(hkl), 2θ/deg, Rel. int.
1 1 1, 23.26, 39.1
2 0 0, 26.92, 10.6
2 2 0, 38.44, 100.0
3 1 1, 45.41, 20.5
4 0 0, 55.49, 17.7
3 3 1, 60.97, 8.7
4 2 2, 69.53, 36.9
5 1 1, 74.42, 6.6
4 4 0, 82.35, 12.0
5 3 1, 87.03, 6.8

Atomic structure:
Cell: 6.6237 6.6237 6.6237 Å, 90.00 90.00 90.00°
Space group F-43m (No. 216)
Symmetry-distinct sites (fractional):
U 0.0000 0.0000 0.0000
Sn 0.0000 0.0000 0.5000
Pt 0.2500 0.2500 0.2500